MgTa2: calculated X-ray diffraction stick pattern (λ = 1.5418 Å (Cu Kα)), based on a DFT-relaxed cell (PBE, Alexandria).

Main lines, by angle (15° ≤ 2θ ≤ 90°):
2θ = 15.7°, intensity 100, (2 0 0); 2θ = 36.5°, intensity 83, (4 0 -2); 2θ = 36.7°, intensity 78, (4 0 1); 2θ = 38.6°, intensity 77, (0 0 3); 2θ = 40.1°, intensity 75, (3 1 0); 2θ = 41.0°, intensity 73, (1 1 -2)

```
data_MgTa2
_chemical_formula_sum 'Mg4 Ta8'
_symmetry_space_group_name_H-M 'C 1 2/m 1'
_symmetry_Int_Tables_number 12
_symmetry_space_group_name_Hall '-C 2y'
_cell_length_a 11.560
_cell_length_b 2.804
_cell_length_c 7.147
_cell_angle_alpha 90.00
_cell_angle_beta 102.12
_cell_angle_gamma 90.00
loop_
_atom_site_label
_atom_site_fract_x
_atom_site_fract_y
_atom_site_fract_z
Mg1 0.032 0.000 0.318
Ta1 0.134 0.500 0.011
Ta2 0.209 0.500 0.658
```

=====

Cs2MnAuI6: calculated X-ray diffraction stick pattern (λ = 1.5418 Å (Cu Kα)), based on a DFT-relaxed cell (PBE, Alexandria).

Main lines, by angle (15° ≤ 2θ ≤ 90°):
2θ = 26.0°, intensity 100, (2 0 2); 2θ = 28.7°, intensity 50, (0 0 4); 2θ = 30.9°, intensity 95, (2 2 0); 2θ = 42.6°, intensity 67, (2 2 4); 2θ = 44.2°, intensity 35, (4 0 0); 2θ = 53.5°, intensity 34, (4 0 4)

```
data_Cs2MnAuI6
_chemical_formula_sum 'Cs4 Mn2 Au2 I12'
_symmetry_space_group_name_H-M 'I 4/m m m'
_symmetry_Int_Tables_number 139
_symmetry_space_group_name_Hall '-I 4 2'
_cell_length_a 8.198
_cell_length_b 8.198
_cell_length_c 12.457
_cell_angle_alpha 90.00
_cell_angle_beta 90.00
_cell_angle_gamma 90.00
loop_
_atom_site_label
_atom_site_fract_x
_atom_site_fract_y
_atom_site_fract_z
Cs1 0.000 0.500 0.250
Mn1 0.000 0.000 0.000
Au1 0.000 0.000 0.500
I1 0.000 0.000 0.215
I2 0.242 0.242 0.500
```

=====

Tb3Dy2Er9: calculated X-ray diffraction stick pattern (λ = 1.5418 Å (Cu Kα)), based on a DFT-relaxed cell (PBE, Alexandria).

Main lines, by angle (15° ≤ 2θ ≤ 90°):
2θ = 31.7°, intensity 64, (0 3 0); 2θ = 31.7°, intensity 100, (1 1 -2); 2θ = 32.1°, intensity 37, (2 -1 1); 2θ = 32.3°, intensity 56, (1 1 3); 2θ = 33.5°, intensity 45, (-1 2 2); 2θ = 34.9°, intensity 43, (2 2 1)

```
data_Tb3Dy2Er9
_chemical_formula_sum 'Tb3 Dy2 Er9'
_symmetry_space_group_name_H-M 'P -1'
_symmetry_Int_Tables_number 2
_symmetry_space_group_name_Hall '-P 1'
_cell_length_a 6.161
_cell_length_b 8.620
_cell_length_c 8.660
_cell_angle_alpha 79.34
_cell_angle_beta 77.42
_cell_angle_gamma 86.72
loop_
_atom_site_label
_atom_site_fract_x
_atom_site_fract_y
_atom_site_fract_z
Tb1 0.000 0.000 0.000
Tb2 0.255 0.381 0.272
Dy1 0.451 0.969 0.701
Er1 0.000 0.000 0.500
Er2 0.092 0.314 0.694
Er3 0.188 0.618 0.896
Er4 0.347 0.668 0.493
Er5 0.491 0.248 0.917
```

=====

Nd12Sm5Er: calculated X-ray diffraction stick pattern (λ = 1.5418 Å (Cu Kα)), based on a DFT-relaxed cell (PBE, Alexandria).

Main lines, by angle (15° ≤ 2θ ≤ 90°):
2θ = 29.9°, intensity 100, (3 3 1); 2θ = 34.7°, intensity 51, (6 0 0); 2θ = 49.9°, intensity 36, (6 6 0); 2θ = 59.3°, intensity 43, (9 3 1); 2θ = 81.0°, intensity 18, (9 3 3); 2θ = 83.6°, intensity 16, (12 6 0)

```
data_Nd12Sm5Er
_chemical_formula_sum 'Nd24 Sm10 Er2'
_symmetry_space_group_name_H-M 'C m m m'
_symmetry_Int_Tables_number 65
_symmetry_space_group_name_Hall '-C 2 2'
_cell_length_a 15.507
_cell_length_b 15.516
_cell_length_c 5.174
_cell_angle_alpha 90.00
_cell_angle_beta 90.00
_cell_angle_gamma 90.00
loop_
_atom_site_label
_atom_site_fract_x
_atom_site_fract_y
_atom_site_fract_z
Nd1 0.000 0.165 0.000
Nd2 0.000 0.334 0.500
Nd3 0.166 0.165 0.500
Nd4 0.167 0.334 0.000
Sm1 0.000 0.500 0.000
Sm2 0.166 0.000 0.000
Sm3 0.167 0.500 0.500
Er1 0.000 0.000 0.500
```

=====

RbNbS3: calculated X-ray diffraction stick pattern (λ = 1.5418 Å (Cu Kα)), based on a DFT-relaxed cell (PBE, Alexandria).

Main lines, by angle (15° ≤ 2θ ≤ 90°):
2θ = 18.3°, intensity 42, (1 1 -1); 2θ = 22.4°, intensity 100, (0 1 1); 2θ = 23.1°, intensity 45, (0 2 -1); 2θ = 36.5°, intensity 45, (2 -1 1); 2θ = 36.8°, intensity 45, (-2 1 2); 2θ = 37.1°, intensity 44, (2 2 -2)

```
data_RbNbS3
_chemical_formula_sum 'Rb2 Nb2 S6'
_symmetry_space_group_name_H-M 'P 1'
_symmetry_Int_Tables_number 1
_symmetry_space_group_name_Hall 'P 1'
_cell_length_a 6.235
_cell_length_b 7.714
_cell_length_c 8.500
_cell_angle_alpha 116.92
_cell_angle_beta 111.01
_cell_angle_gamma 90.14
loop_
_atom_site_label
_atom_site_fract_x
_atom_site_fract_y
_atom_site_fract_z
Rb1 0.000 0.000 0.000
Rb2 0.349 0.345 0.689
Nb1 0.151 0.664 0.345
Nb2 0.651 0.667 0.344
S1 0.040 0.910 0.583
S2 0.306 0.672 0.106
S3 0.423 0.417 0.343
S4 0.540 0.908 0.584
S5 0.806 0.668 0.105
S6 0.923 0.418 0.346
```

=====

Pa2MoN6: calculated X-ray diffraction stick pattern (λ = 1.5418 Å (Cu Kα)), based on a DFT-relaxed cell (PBE, Alexandria).

Main lines, by angle (15° ≤ 2θ ≤ 90°):
2θ = 29.4°, intensity 100, (0 1 1); 2θ = 32.2°, intensity 70, (1 1 0); 2θ = 44.2°, intensity 44, (2 0 1); 2θ = 50.3°, intensity 16, (1 0 2); 2θ = 55.7°, intensity 38, (1 2 1); 2θ = 57.4°, intensity 17, (3 0 0)

```
data_Pa2MoN6
_chemical_formula_sum 'Pa2 Mo1 N6'
_symmetry_space_group_name_H-M 'P -3'
_symmetry_Int_Tables_number 147
_symmetry_space_group_name_Hall '-P 3'
_cell_length_a 5.5578
_cell_length_b 5.5578
_cell_length_c 3.9200
_cell_angle_alpha 90.00
_cell_angle_beta 90.00
_cell_angle_gamma 120.00
loop_
_atom_site_label
_atom_site_fract_x
_atom_site_fract_y
_atom_site_fract_z
Pa1 0.3333 0.6667 0.2594
Mo1 0.0000 0.0000 0.0000
N1 0.0818 0.3548 0.7482
```

=====

La2Sm2CN2: calculated X-ray diffraction stick pattern (λ = 1.5418 Å (Cu Kα)), based on a DFT-relaxed cell (PBE, Alexandria).

Main lines, by angle (15° ≤ 2θ ≤ 90°):
2θ = 28.4°, intensity 49, (0 0 2); 2θ = 31.2°, intensity 30, (0 2 0); 2θ = 31.5°, intensity 73, (-1 1 1); 2θ = 31.9°, intensity 100, (1 -1 1); 2θ = 40.8°, intensity 22, (1 1 -3); 2θ = 49.8°, intensity 27, (1 3 -2)

```
data_La2Sm2CN2
_chemical_formula_sum 'La2 Sm2 C1 N2'
_symmetry_space_group_name_H-M 'P -1'
_symmetry_Int_Tables_number 2
_symmetry_space_group_name_Hall '-P 1'
_cell_length_a 3.645
_cell_length_b 6.355
_cell_length_c 7.182
_cell_angle_alpha 114.51
_cell_angle_beta 104.67
_cell_angle_gamma 90.07
loop_
_atom_site_label
_atom_site_fract_x
_atom_site_fract_y
_atom_site_fract_z
La1 0.125 0.286 0.251
Sm1 0.361 0.178 0.721
C1 0.500 0.000 0.000
N1 0.237 0.763 0.476
```

=====

CeMgSn6: calculated X-ray diffraction stick pattern (λ = 1.5418 Å (Cu Kα)), based on a DFT-relaxed cell (PBE, Alexandria).

Main lines, by angle (15° ≤ 2θ ≤ 90°):
2θ = 33.0°, intensity 100, (2 2 1); 2θ = 37.6°, intensity 35, (4 0 0); 2θ = 39.6°, intensity 16, (0 0 2); 2θ = 55.7°, intensity 23, (4 0 2); 2θ = 64.9°, intensity 28, (6 2 1); 2θ = 67.7°, intensity 13, (2 2 3)

```
data_CeMgSn6
_chemical_formula_sum 'Ce2 Mg2 Sn12'
_symmetry_space_group_name_H-M 'C m m m'
_symmetry_Int_Tables_number 65
_symmetry_space_group_name_Hall '-C 2 2'
_cell_length_a 9.568
_cell_length_b 9.581
_cell_length_c 4.551
_cell_angle_alpha 90.00
_cell_angle_beta 90.00
_cell_angle_gamma 90.00
loop_
_atom_site_label
_atom_site_fract_x
_atom_site_fract_y
_atom_site_fract_z
Ce1 0.000 0.000 0.000
Mg1 0.000 0.500 0.000
Sn1 0.000 0.263 0.500
Sn2 0.237 0.500 0.500
Sn3 0.250 0.250 0.000
```

=====

NdGaSb: calculated X-ray diffraction stick pattern (λ = 1.5418 Å (Cu Kα)), based on a DFT-relaxed cell (PBE, Alexandria).

Main lines, by angle (15° ≤ 2θ ≤ 90°):
2θ = 23.8°, intensity 100, (0 1 1); 2θ = 25.5°, intensity 39, (3 0 1); 2θ = 29.7°, intensity 42, (4 0 0); 2θ = 33.3°, intensity 59, (1 1 2); 2θ = 38.4°, intensity 58, (4 1 1); 2θ = 39.7°, intensity 41, (3 1 2)

```
data_NdGaSb
_chemical_formula_sum 'Nd4 Ga4 Sb4'
_symmetry_space_group_name_H-M 'P n m a'
_symmetry_Int_Tables_number 62
_symmetry_space_group_name_Hall '-P 2ac 2n'
_cell_length_a 12.032
_cell_length_b 4.410
_cell_length_c 7.066
_cell_angle_alpha 90.00
_cell_angle_beta 90.00
_cell_angle_gamma 90.00
loop_
_atom_site_label
_atom_site_fract_x
_atom_site_fract_y
_atom_site_fract_z
Nd1 0.136 0.250 0.164
Ga1 0.062 0.750 0.484
Sb1 0.129 0.750 0.853
```

=====

HfPa3: calculated X-ray diffraction stick pattern (λ = 1.5418 Å (Cu Kα)), based on a DFT-relaxed cell (PBE, Alexandria).

Main lines, by angle (15° ≤ 2θ ≤ 90°):
2θ = 32.7°, intensity 63, (1 0 1); 2θ = 33.3°, intensity 56, (0 4 0); 2θ = 35.3°, intensity 100, (0 2 2); 2θ = 36.8°, intensity 90, (1 2 1); 2θ = 47.4°, intensity 44, (1 4 1); 2θ = 70.9°, intensity 27, (2 2 2)

```
data_HfPa3
_chemical_formula_sum 'Hf2 Pa6'
_symmetry_space_group_name_H-M 'I m m 2'
_symmetry_Int_Tables_number 44
_symmetry_space_group_name_Hall 'I 2 -2'
_cell_length_a 3.118
_cell_length_b 10.749
_cell_length_c 5.763
_cell_angle_alpha 90.00
_cell_angle_beta 90.00
_cell_angle_gamma 90.00
loop_
_atom_site_label
_atom_site_fract_x
_atom_site_fract_y
_atom_site_fract_z
Hf1 0.000 0.000 0.000
Pa1 0.000 0.262 0.757
Pa2 0.000 0.500 0.011
```

=====

RuICl3: calculated X-ray diffraction stick pattern (λ = 1.5418 Å (Cu Kα)), based on a DFT-relaxed cell (PBE, Alexandria).

Main lines, by angle (15° ≤ 2θ ≤ 90°):
2θ = 16.3°, intensity 53, (1 1 -1); 2θ = 20.5°, intensity 85, (0 2 1); 2θ = 33.4°, intensity 100, (2 4 -1); 2θ = 34.3°, intensity 54, (0 0 2); 2θ = 46.6°, intensity 36, (2 4 1); 2θ = 50.6°, intensity 29, (2 4 -3)

```
data_RuICl3
_chemical_formula_sum 'Ru4 I4 Cl12'
_symmetry_space_group_name_H-M 'C 1 c 1'
_symmetry_Int_Tables_number 9
_symmetry_space_group_name_Hall 'C -2yc'
_cell_length_a 7.509
_cell_length_b 15.417
_cell_length_c 6.128
_cell_angle_alpha 90.00
_cell_angle_beta 121.40
_cell_angle_gamma 90.00
loop_
_atom_site_label
_atom_site_fract_x
_atom_site_fract_y
_atom_site_fract_z
Ru1 0.000 0.064 0.000
I1 0.259 0.317 0.504
Cl1 0.202 0.054 0.453
Cl2 0.226 0.162 0.001
Cl3 0.298 0.450 0.049
```

=====

CaBi6Pb12: calculated X-ray diffraction stick pattern (λ = 1.5418 Å (Cu Kα)), based on a DFT-relaxed cell (PBE, Alexandria).

Main lines, by angle (15° ≤ 2θ ≤ 90°):
2θ = 31.3°, intensity 100, (1 3 1); 2θ = 31.5°, intensity 45, (0 3 3); 2θ = 31.9°, intensity 36, (0 1 5); 2θ = 33.1°, intensity 47, (4 -1 2); 2θ = 33.4°, intensity 57, (3 -1 4); 2θ = 58.0°, intensity 17, (2 5 3)

```
data_CaBi6Pb12
_chemical_formula_sum 'Ca3 Bi18 Pb36'
_symmetry_space_group_name_H-M 'R -3'
_symmetry_Int_Tables_number 148
_symmetry_space_group_name_Hall '-R 3'
_cell_length_a 12.1424
_cell_length_b 12.1424
_cell_length_c 14.5391
_cell_angle_alpha 90.00
_cell_angle_beta 90.00
_cell_angle_gamma 120.00
loop_
_atom_site_label
_atom_site_fract_x
_atom_site_fract_y
_atom_site_fract_z
Ca1 0.0000 0.0000 0.0000
Bi1 0.0271 0.4408 0.7147
Pb1 0.0368 0.1908 0.8101
Pb2 0.0660 0.8532 0.4094
```

=====

CaFeRh: calculated X-ray diffraction stick pattern (λ = 1.5418 Å (Cu Kα)), based on a DFT-relaxed cell (PBE, Alexandria).

Main lines, by angle (15° ≤ 2θ ≤ 90°):
2θ = 21.2°, intensity 75, (1 0 1); 2θ = 38.7°, intensity 100, (1 2 1); 2θ = 40.6°, intensity 65, (0 2 2); 2θ = 40.7°, intensity 37, (2 1 1); 2θ = 41.0°, intensity 43, (1 0 3); 2θ = 43.2°, intensity 54, (2 0 2)

```
data_CaFeRh
_chemical_formula_sum 'Ca4 Fe4 Rh4'
_symmetry_space_group_name_H-M 'I m m a'
_symmetry_Int_Tables_number 74
_symmetry_space_group_name_Hall '-I 2b 2'
_cell_length_a 5.111
_cell_length_b 5.592
_cell_length_c 7.322
_cell_angle_alpha 90.00
_cell_angle_beta 90.00
_cell_angle_gamma 90.00
loop_
_atom_site_label
_atom_site_fract_x
_atom_site_fract_y
_atom_site_fract_z
Ca1 0.000 0.250 0.126
Fe1 0.250 0.250 0.750
Rh1 0.000 0.000 0.500
```

=====

K2ErPa2Te6: calculated X-ray diffraction stick pattern (λ = 1.5418 Å (Cu Kα)), based on a DFT-relaxed cell (PBE, Alexandria).

Main lines, by angle (15° ≤ 2θ ≤ 90°):
2θ = 27.3°, intensity 100, (1 3 1); 2θ = 34.0°, intensity 26, (2 0 -3); 2θ = 36.7°, intensity 38, (2 0 2); 2θ = 41.2°, intensity 35, (3 3 -1); 2θ = 42.6°, intensity 17, (3 3 -2); 2θ = 45.7°, intensity 16, (1 3 -4)

```
data_K2ErPa2Te6
_chemical_formula_sum 'K4 Er2 Pa4 Te12'
_symmetry_space_group_name_H-M 'C 1 2/m 1'
_symmetry_Int_Tables_number 12
_symmetry_space_group_name_Hall '-C 2y'
_cell_length_a 7.592
_cell_length_b 13.149
_cell_length_c 8.922
_cell_angle_alpha 90.00
_cell_angle_beta 106.57
_cell_angle_gamma 90.00
loop_
_atom_site_label
_atom_site_fract_x
_atom_site_fract_y
_atom_site_fract_z
K1 0.000 0.167 0.000
Er1 0.000 0.000 0.500
Pa1 0.000 0.333 0.500
Te1 0.237 0.164 0.710
Te2 0.237 0.500 0.709
```